Entry 1:
This entry pairs a crystal structure of La3Mg7Rh4 with its simulated powder X-ray diffraction pattern. Radiation: Cu Kα, 1.54184 Å. Structure: a cell relaxed with GGA-PBE.
Kinematic intensities with the Lorentz-polarization factor, no thermal factor.

Crystal structure
```
data_La3Mg7Rh4
_symmetry_space_group_name_H-M 'C 1 2/m 1'
_symmetry_Int_Tables_number 12
_cell_length_a 16.328
_cell_length_b 4.253
_cell_length_c 10.674
_cell_angle_alpha 90.00
_cell_angle_beta 124.12
_cell_angle_gamma 90.00
loop_
_symmetry_equiv_pos_as_xyz
'x,y,z'
'-x,-y,-z'
'-x,y,-z'
'x,-y,z'
'x+1/2,y+1/2,z'
'-x+1/2,-y+1/2,-z'
'-x+1/2,y+1/2,-z'
'x+1/2,-y+1/2,z'
loop_
_atom_site_label
_atom_site_fract_x
_atom_site_fract_y
_atom_site_fract_z
La1 0.000 0.000 0.000
La2 0.200 0.500 0.719
Mg1 0.000 0.000 0.500
Mg2 0.014 0.500 0.288
Mg3 0.169 0.000 0.429
Mg4 0.179 0.500 0.008
Rh1 0.107 0.000 0.808
Rh2 0.168 0.500 0.261
```

The 10 most intense peaks (10° ≤ 2θ ≤ 80°), most intense first:
34.67 deg, I 100, (5 1 -2)
32.94 deg, I 80, (3 1 -3)
20.10 deg, I 62, (0 0 2)
28.87 deg, I 59, (3 1 0)
40.00 deg, I 58, (3 1 -4)
42.51 deg, I 51, (0 2 0)
32.37 deg, I 44, (1 1 2)
34.20 deg, I 41, (3 1 1)
29.72 deg, I 31, (2 0 2)
40.83 deg, I 30, (0 0 4)

Entry 2:
This entry pairs a crystal structure of LaMgRu2 with its simulated powder X-ray diffraction pattern. Radiation: Cu Kα, 1.54184 Å. Structure: a cell relaxed with GGA-PBE.
Kinematic intensities with the Lorentz-polarization factor, no thermal factor.

Crystal structure
```
data_LaMgRu2
_symmetry_space_group_name_H-M 'P 1 2/m 1'
_symmetry_Int_Tables_number 10
_cell_length_a 3.030
_cell_length_b 4.421
_cell_length_c 5.566
_cell_angle_alpha 90.00
_cell_angle_beta 94.92
_cell_angle_gamma 90.00
loop_
_symmetry_equiv_pos_as_xyz
'x,y,z'
'-x,-y,-z'
'-x,y,-z'
'x,-y,z'
loop_
_atom_site_label
_atom_site_fract_x
_atom_site_fract_y
_atom_site_fract_z
La1 0.000 0.000 0.000
Mg1 0.500 0.000 0.500
Ru1 0.210 0.500 0.768
```

The 10 most intense peaks (10° ≤ 2θ ≤ 80°), most intense first:
38.32 deg, I 100, (0 1 2)
38.53 deg, I 94, (1 1 -1)
35.04 deg, I 65, (1 0 1)
15.98 deg, I 60, (0 0 1)
40.83 deg, I 43, (0 2 0)
54.87 deg, I 35, (1 2 1)
64.90 deg, I 21, (1 1 3)
29.59 deg, I 20, (1 0 0)
65.33 deg, I 18, (2 1 0)
47.28 deg, I 18, (1 1 -2)

Entry 3:
This entry pairs a crystal structure of LaMg2Sc with its simulated powder X-ray diffraction pattern. Radiation: Cu Kα, 1.54184 Å. Structure: a cell relaxed with GGA-PBE.
Kinematic intensities with the Lorentz-polarization factor, no thermal factor.

Crystal structure
```
data_LaMg2Sc
_symmetry_space_group_name_H-M 'C m m 2'
_symmetry_Int_Tables_number 35
_cell_length_a 3.613
_cell_length_b 5.379
_cell_length_c 11.051
_cell_angle_alpha 90.00
_cell_angle_beta 90.00
_cell_angle_gamma 90.00
loop_
_symmetry_equiv_pos_as_xyz
'x,y,z'
'-x,-y,z'
'-x,y,z'
'x,-y,z'
'x+1/2,y+1/2,z'
'-x+1/2,-y+1/2,z'
'-x+1/2,y+1/2,z'
'x+1/2,-y+1/2,z'
loop_
_atom_site_label
_atom_site_fract_x
_atom_site_fract_y
_atom_site_fract_z
La1 0.000 0.000 0.000
Mg1 0.000 0.000 0.497
Mg2 0.000 0.500 0.730
Sc1 0.000 0.500 0.262
```

The 10 most intense peaks (10° ≤ 2θ ≤ 80°), most intense first:
34.01 deg, I 100, (1 1 2)
30.89 deg, I 34, (1 1 1)
32.41 deg, I 28, (0 0 4)
33.31 deg, I 27, (0 2 0)
16.04 deg, I 24, (0 0 2)
24.16 deg, I 20, (0 0 3)
47.16 deg, I 19, (0 2 4)
59.98 deg, I 19, (1 3 2)
58.83 deg, I 18, (1 1 6)
51.35 deg, I 12, (1 1 5)

Entry 4:
This entry pairs a crystal structure of LaMgSe with its simulated powder X-ray diffraction pattern. Radiation: Cu Kα, 1.54184 Å. Structure: a cell relaxed with GGA-PBE.
Kinematic intensities with the Lorentz-polarization factor, no thermal factor.

Crystal structure
```
data_LaMgSe
_symmetry_space_group_name_H-M 'R -3 m'
_symmetry_Int_Tables_number 166
_symmetry_space_group_name_Hall '-R 3 2"'
_cell_length_a 5.1211
_cell_length_b 5.1211
_cell_length_c 24.1283
_cell_angle_alpha 90.00
_cell_angle_beta 90.00
_cell_angle_gamma 120.00
loop_
_atom_site_label
_atom_site_fract_x
_atom_site_fract_y
_atom_site_fract_z
La1 0.0000 0.0000 0.0889
Mg1 0.0000 0.0000 0.3295
Se1 0.0000 0.0000 0.2164
```

The 10 most intense peaks (10° ≤ 2θ ≤ 80°), most intense first:
35.04 deg, I 100, (1 1 0)
20.36 deg, I 97, (1 0 1)
32.91 deg, I 70, (1 0 7)
41.82 deg, I 36, (1 1 6)
22.10 deg, I 32, (0 0 6)
49.21 deg, I 26, (1 1 9)
48.83 deg, I 23, (0 2 7)
61.51 deg, I 23, (2 1 7)
42.66 deg, I 19, (1 0 10)
27.31 deg, I 18, (0 1 5)